Record 1
Structure and computed XRD peak list of K2AlH4 (a DFT-relaxed cell (PBE, Alexandria); Cu Kα (λ = 1.5418 Å)).

```
K2AlH4
1.0
-1.975 1.975 6.857
1.975 -1.975 6.857
1.975 1.975 -6.857
K Al H
2 1 4
Direct
0.142 0.142 0.000
0.858 0.858 0.000
0.500 0.500 0.000
0.000 0.500 0.500
0.361 0.361 0.000
0.500 0.000 0.500
0.639 0.639 0.000
```

Most intense lines, 15° ≤ 2θ ≤ 90°, in order of rising 2θ:
2theta  intensity
23.44  10
25.99  9
29.89  100
32.04  51
39.42  8
40.02  9
41.71  10
45.95  18
51.67  11
55.79  30

***

Record 2
Structure and computed XRD peak list of NdY8Sc4 (a DFT-relaxed cell (PBE, Alexandria); Cu Kα (λ = 1.5418 Å)).

```
NdY8Sc4
1.0
3.573 2.063 8.887
-3.573 2.063 8.887
0.000 -4.126 8.887
Nd Y Sc
1 8 4
Direct
0.000 0.000 0.000
0.252 0.252 0.705
0.252 0.705 0.252
0.281 0.281 0.281
0.295 0.748 0.748
0.705 0.252 0.252
0.719 0.719 0.719
0.748 0.295 0.748
0.748 0.748 0.295
0.000 0.000 0.500
0.000 0.500 0.000
0.500 0.000 0.000
0.500 0.500 0.500
```

Most intense lines, 15° ≤ 2θ ≤ 90°, in order of rising 2θ:
2theta  intensity
15.79  13
26.89  14
29.63  18
30.17  15
31.88  100
33.48  16
37.44  14
39.75  32
51.12  28
61.52  13